(1)
The following is a calculated XRD peak list of Re3W. It was derived from a GGA-PBE-relaxed structure, using Cu Kα, 1.54184 Å.
Intensities are scaled so that the largest is 100.

The 6 most intense peaks (10° ≤ 2θ ≤ 80°), low angle first:
h k l, 2theta, I_rel
2 2 0, 39.58, 100
2 0 1, 45.88, 33
0 4 0, 46.30, 16
4 0 0, 66.81, 5
0 0 2, 67.01, 5
2 4 1, 67.24, 21

Atomic structure:
Cell lengths 5.601, 7.843, 2.793 Å; angles 90.00, 90.00, 90.00 degrees
Space group Cmmm (No. 65)
Unique sites:
Re: 0.000 0.000 0.000 [2 per cell]
Re: 0.250 0.250 0.500 [4 per cell]
W: 0.000 0.500 0.000 [2 per cell]

***

(2)
The following is a calculated XRD peak list of ReW2. It was derived from a GGA-PBE-relaxed structure, using Cu Kα, 1.54184 Å.
Intensities are scaled so that the largest is 100.

The 3 most intense peaks (10° ≤ 2θ ≤ 80°), low angle first:
h k l, 2theta, I_rel
1 3 1, 40.36, 100
2 0 0, 58.40, 17
2 0 2, 73.38, 35

Atomic structure:
Cell lengths 3.162, 13.396, 4.472 Å; angles 90.00, 90.00, 90.00 degrees
Space group Cmcm (No. 63)
Unique sites:
Re: 0.000 0.082 0.250 [4 per cell]
W: 0.000 0.248 0.750 [4 per cell]
W: 0.000 0.416 0.250 [4 per cell]

***

(3)
The following is a calculated XRD peak list of Re2W. It was derived from a GGA-PBE-relaxed structure, using Cu Kα, 1.54184 Å.
Intensities are scaled so that the largest is 100.

The 10 most intense peaks (10° ≤ 2θ ≤ 80°), low angle first:
h k l, 2theta, I_rel
1 0 3, 33.97, 14
1 0 5, 37.02, 100
1 0 7, 41.23, 88
0 0 12, 43.79, 40
1 0 9, 46.35, 14
1 1 2, 46.71, 64
1 1 10, 59.98, 20
2 0 0, 67.25, 23
1 1 14, 71.65, 25
2 1 5, 79.33, 23

Atomic structure:
Cell lengths 2.784, 2.784, 24.808 Å; angles 90.00, 90.00, 90.00 degrees
Space group I4_1/amd (No. 141, origin choice 2)
Unique sites:
Re: 0.000 0.250 0.295 [8 per cell]
W: 0.000 0.250 0.875 [4 per cell]

***

(4)
The following is a calculated XRD peak list of Re5W. It was derived from a GGA-PBE-relaxed structure, using Cu Kα, 1.54184 Å.
Intensities are scaled so that the largest is 100.

The 10 most intense peaks (10° ≤ 2θ ≤ 80°), low angle first:
h k l, 2theta, I_rel
2 0 2, 37.25, 11
1 1 1, 37.43, 25
4 0 -2, 39.64, 41
4 0 1, 42.40, 53
1 1 -2, 42.56, 100
3 1 -3, 55.61, 11
5 1 -1, 55.69, 8
3 1 3, 67.29, 18
0 2 0, 67.64, 9
8 0 -1, 73.93, 25

Atomic structure:
Cell lengths 10.288, 2.770, 6.638 Å; angles 90.00, 105.36, 90.00 degrees
Space group Cm (No. 8)
Unique sites:
Re: 0.000 0.000 0.000 [2 per cell]
Re: 0.054 0.000 0.622 [2 per cell]
Re: 0.159 0.500 0.338 [2 per cell]
Re: 0.219 0.500 0.946 [2 per cell]
Re: 0.328 0.000 0.673 [2 per cell]
W: 0.385 0.000 0.285 [2 per cell]

***

(5)
The following is a calculated XRD peak list of ReW4. It was derived from a GGA-PBE-relaxed structure, using Cu Kα, 1.54184 Å.
Intensities are scaled so that the largest is 100.

The 8 most intense peaks (10° ≤ 2θ ≤ 80°), low angle first:
h k l, 2theta, I_rel
1 1 5, 40.20, 100
0 2 0, 40.57, 20
2 0 0, 57.94, 7
0 2 10, 58.41, 14
2 0 10, 72.84, 7
1 1 15, 73.01, 14
2 2 0, 73.12, 7
1 3 5, 73.57, 14

Atomic structure:
Cell lengths 3.183, 4.447, 22.456 Å; angles 90.00, 90.00, 90.00 degrees
Space group Fmmm (No. 69)
Unique sites:
Re: 0.000 0.000 0.000 [4 per cell]
W: 0.000 0.000 0.200 [8 per cell]
W: 0.000 0.000 0.401 [8 per cell]

***

(6)
The following is a calculated XRD peak list of Re12W17. It was derived from a GGA-PBE-relaxed structure, using Cu Kα, 1.54184 Å.
Intensities are scaled so that the largest is 100.

The 10 most intense peaks (10° ≤ 2θ ≤ 80°), low angle first:
h k l, 2theta, I_rel
4 0 0, 36.89, 8
4 1 1, 39.22, 100
3 3 2, 43.55, 29
4 2 2, 45.60, 10
4 3 1, 47.57, 18
4 4 4, 66.46, 5
5 5 0, 68.02, 10
7 2 1, 71.08, 26
6 4 2, 72.59, 6
6 5 1, 77.04, 5

Atomic structure:
Cell lengths 9.746, 9.746, 9.746 Å; angles 90.00, 90.00, 90.00 degrees
Space group I-43m (No. 217)
Unique sites:
Re: 0.092 0.092 0.716 [24 per cell]
W: 0.000 0.000 0.000 [2 per cell]
W: 0.044 0.359 0.641 [24 per cell]
W: 0.177 0.177 0.177 [8 per cell]

***

(7)
The following is a calculated XRD peak list of ZnReW2. It was derived from a GGA-PBE-relaxed structure, using Cu Kα, 1.54184 Å.
Intensities are scaled so that the largest is 100.

The 10 most intense peaks (10° ≤ 2θ ≤ 80°), low angle first:
h k l, 2theta, I_rel
0 0 2, 19.93, 4
1 1 0, 34.92, 2
1 1 1, 36.39, 3
1 1 2, 40.53, 100
0 2 0, 40.82, 20
2 0 0, 58.46, 7
0 2 4, 58.86, 13
2 0 4, 73.54, 7
2 2 0, 73.71, 21
1 3 2, 74.12, 14

Atomic structure:
Cell lengths 3.157, 4.421, 8.908 Å; angles 90.00, 90.00, 90.00 degrees
Space group Cmm2 (No. 35)
Unique sites:
Zn: 0.000 0.000 0.000 [2 per cell]
Re: 0.000 0.500 0.249 [2 per cell]
W: 0.000 0.000 0.496 [2 per cell]
W: 0.000 0.500 0.749 [2 per cell]

***

(8)
The following is a calculated XRD peak list of ZnReW2. It was derived from a GGA-PBE-relaxed structure, using Cu Kα, 1.54184 Å.
Intensities are scaled so that the largest is 100.

The 10 most intense peaks (10° ≤ 2θ ≤ 80°), low angle first:
h k l, 2theta, I_rel
0 1 2, 40.16, 100
1 1 -1, 40.38, 96
0 2 0, 41.18, 46
1 0 1, 42.06, 43
1 0 -3, 56.15, 19
1 2 1, 60.32, 31
1 2 -3, 71.96, 18
0 3 2, 74.36, 16
1 3 -1, 74.50, 16
1 1 3, 75.42, 15

Atomic structure:
Cell lengths 2.692, 4.385, 5.378 Å; angles 90.00, 103.51, 90.00 degrees
Space group P2/m (No. 10)
Unique sites:
Zn: 0.000 0.000 0.000 [1 per cell]
Re: 0.500 0.000 0.500 [1 per cell]
W: 0.264 0.500 0.751 [2 per cell]